Simulated XRD peak list
Compound: KVF3
Radiation: CuKα
Structure: a cell relaxed with GGA+U
Neutral-atom scattering factors, no anomalous dispersion.

Crystal structure
a = 3.3814 Å, b = 5.5287 Å, c = 7.8889 Å
α = 90.00°, β = 90.04°, γ = 90.00°
Space group P2_1/m (No. 11)
Asymmetric unit:
K (0.2486, 0.2500, 0.3626)
V (0.2504, 0.7500, 0.1247)
F (0.2497, 0.0044, 0.8648)
F (0.2511, 0.7500, 0.3877)

The 10 most intense peaks (10 to 90 degrees two-theta), low angle first:
- 11.2°, d = 7.889 Å, I = 30, (0 0 1)
- 27.8°, d = 3.211 Å, I = 85, (0 1 2)
- 28.7°, d = 3.108 Å, I = 37, (1 0 1)
- 32.4°, d = 2.764 Å, I = 27, (0 2 0)
- 33.1°, d = 2.709 Å, I = 43, (1 1 -1)
- 43.8°, d = 2.066 Å, I = 100, (1 2 1)
- 46.0°, d = 1.972 Å, I = 38, (0 0 4)
- 46.7°, d = 1.943 Å, I = 24, (1 1 3)
- 54.3°, d = 1.691 Å, I = 23, (2 0 0)
- 55.3°, d = 1.660 Å, I = 35, (1 2 -3)